Structure and theoretical XRD peak list of AgIF3 (DFT lattice parameters and positions (GGA-PBE); Cu Ka).
No peak broadening, texture or thermal motion is included.

```
data_AgIF3
_chemical_formula_sum 'Ag2 I2 F6'
_space_group_name_H-M_alt 'P 1'
_space_group_IT_number 1
_space_group_name_Hall 'P 1'
_cell_length_a 4.898
_cell_length_b 5.801
_cell_length_c 6.880
_cell_angle_alpha 97.57
_cell_angle_beta 103.40
_cell_angle_gamma 90.05
loop_
_atom_site_label
_atom_site_type_symbol
_atom_site_fract_x
_atom_site_fract_y
_atom_site_fract_z
_atom_site_occupancy
Ag1 Ag 0.000 0.000 0.000 1
Ag2 Ag 0.439 0.507 0.743 1
I1 I 0.716 0.178 0.510 1
I2 I 0.809 0.712 0.268 1
F1 F 0.113 0.192 0.718 1
F2 F 0.197 0.687 0.442 1
F3 F 0.338 0.172 0.306 1
F4 F 0.425 0.734 0.070 1
F5 F 0.832 0.709 0.744 1
F6 F 0.833 0.396 0.086 1
```

Main lines, low angle first (2θ from 5° to 70°):
h k l, Position (°2θ), I_rel
1 0 0, 18.63, 52.9
0 1 -1, 19.01, 53.1
1 1 -1, 24.80, 100.0
1 0 1, 25.45, 86.3
-1 1 1, 26.29, 82.1
0 1 -2, 29.21, 84.5
1 1 -2, 31.49, 50.9
0 2 1, 35.70, 48.5
1 2 -2, 40.60, 46.0
2 0 1, 43.28, 42.7